Record 1
# Li7Mn2Co3O12
Computed XRD peak list, a wavelength of 1.5418 Å. Input: a crystal structure in the Materials Project, relaxed with PBE+U.
Intensities are scaled so that the largest is 100.

Structure:
Lattice parameters (Å, degrees): 3.018 8.011 9.804 66.42 86.60 89.40
Positions (direct):
Li (0.000, 0.000, 0.000)
Li (0.000, 0.323, 0.339)
Li (0.000, 0.677, 0.661)
Li (0.497, 0.837, 0.831)
Li (0.500, 0.000, 0.500)
Li (0.500, 0.500, 0.500)
Li (0.503, 0.163, 0.169)
Mn (0.499, 0.667, 0.170)
Mn (0.501, 0.333, 0.830)
Co (0.000, 0.500, 0.000)
Co (0.005, 0.839, 0.343)
Co (0.995, 0.161, 0.657)
O (0.004, 0.940, 0.669)
O (0.021, 0.606, 0.329)
O (0.031, 0.264, 0.994)
O (0.475, 0.243, 0.513)
O (0.477, 0.904, 0.176)
O (0.485, 0.428, 0.164)
O (0.515, 0.572, 0.836)
O (0.523, 0.096, 0.824)
O (0.525, 0.757, 0.487)
O (0.969, 0.736, 0.006)
O (0.979, 0.394, 0.671)
O (0.996, 0.060, 0.331)

Top 12 peaks for 10° ≤ 2θ ≤ 90°, low angle first:
| 2theta | I_rel |
| --- | --- |
| 12.10 | 13 |
| 18.43 | 100 |
| 34.33 | 20 |
| 36.13 | 13 |
| 37.00 | 12 |
| 41.24 | 36 |
| 43.93 | 29 |
| 45.29 | 25 |
| 61.57 | 9 |
| 62.09 | 8 |
| 62.88 | 8 |
| 62.93 | 8 |

=====

Record 2
# Li7Mn2Co3O12
Computed XRD peak list, a wavelength of 1.5418 Å. Input: a crystal structure in the Materials Project, relaxed with PBE+U.
Intensities are scaled so that the largest is 100.

Structure:
Lattice parameters (Å, degrees): 2.955 2.955 29.017 90.00 90.00 120.00
Positions (direct):
Li (0.000, 0.000, 0.000)
Li (0.000, 0.000, 0.245)
Li (0.000, 0.000, 0.745)
Li (0.333, 0.667, 0.421)
Li (0.333, 0.667, 0.925)
Li (0.667, 0.333, 0.081)
Li (0.667, 0.333, 0.585)
Mn (0.667, 0.333, 0.334)
Mn (0.667, 0.333, 0.832)
Co (0.000, 0.000, 0.501)
Co (0.333, 0.667, 0.166)
Co (0.333, 0.667, 0.666)
O (0.000, 0.000, 0.130)
O (0.000, 0.000, 0.372)
O (0.000, 0.000, 0.627)
O (0.000, 0.000, 0.868)
O (0.333, 0.667, 0.043)
O (0.333, 0.667, 0.296)
O (0.333, 0.667, 0.538)
O (0.333, 0.667, 0.795)
O (0.667, 0.333, 0.207)
O (0.667, 0.333, 0.462)
O (0.667, 0.333, 0.706)
O (0.667, 0.333, 0.957)

Top 12 peaks for 10° ≤ 2θ ≤ 90°, low angle first:
| 2theta | I_rel |
| --- | --- |
| 12.20 | 8 |
| 15.27 | 5 |
| 18.35 | 100 |
| 35.62 | 46 |
| 37.24 | 16 |
| 43.26 | 95 |
| 47.36 | 16 |
| 57.18 | 17 |
| 62.85 | 51 |
| 66.12 | 15 |
| 75.35 | 6 |
| 79.41 | 12 |

=====

Record 3
# Li7Mn4CoO12
Computed XRD peak list, a wavelength of 1.5418 Å. Input: a crystal structure in the Materials Project, relaxed with PBE+U.
Intensities are scaled so that the largest is 100.

Structure:
Lattice parameters (Å, degrees): 2.970 6.494 12.022 75.54 86.47 76.84
Positions (direct):
Li (0.000, 0.000, 0.000)
Li (0.008, 0.001, 0.758)
Li (0.329, 0.334, 0.579)
Li (0.353, 0.317, 0.086)
Li (0.648, 0.686, 0.913)
Li (0.670, 0.666, 0.417)
Li (0.987, 0.008, 0.241)
Mn (0.345, 0.323, 0.839)
Mn (0.655, 0.678, 0.161)
Mn (0.675, 0.671, 0.669)
Mn (0.997, 0.006, 0.496)
Co (0.317, 0.336, 0.329)
O (0.131, 0.678, 0.543)
O (0.149, 0.652, 0.278)
O (0.184, 0.663, 0.059)
O (0.214, 0.653, 0.790)
O (0.456, 0.019, 0.375)
O (0.482, 0.025, 0.869)
O (0.517, 0.976, 0.131)
O (0.542, 0.993, 0.620)
O (0.788, 0.350, 0.213)
O (0.817, 0.336, 0.942)
O (0.853, 0.347, 0.721)
O (0.861, 0.330, 0.451)

Top 12 peaks for 10° ≤ 2θ ≤ 90°, low angle first:
| 2theta | I_rel |
| --- | --- |
| 18.29 | 100 |
| 34.56 | 16 |
| 36.26 | 12 |
| 36.50 | 11 |
| 41.49 | 34 |
| 44.28 | 55 |
| 61.87 | 8 |
| 62.02 | 8 |
| 62.58 | 8 |
| 62.68 | 8 |
| 63.86 | 8 |
| 64.96 | 7 |

=====

Record 4
# Li4MnCo2O7
Computed XRD peak list, a wavelength of 1.5418 Å. Input: a crystal structure in the Materials Project, relaxed with PBE+U.
Intensities are scaled so that the largest is 100.

Structure:
Lattice parameters (Å, degrees): 4.987 5.969 8.705 89.00 86.49 77.56
Positions (direct):
Li (0.000, 0.000, 0.000)
Li (0.003, 0.499, 0.001)
Li (0.146, 0.207, 0.724)
Li (0.288, 0.935, 0.432)
Li (0.438, 0.632, 0.134)
Li (0.582, 0.352, 0.860)
Li (0.722, 0.067, 0.574)
Li (0.861, 0.788, 0.277)
Mn (0.292, 0.427, 0.430)
Mn (0.869, 0.276, 0.282)
Co (0.147, 0.716, 0.718)
Co (0.434, 0.135, 0.138)
Co (0.575, 0.868, 0.863)
Co (0.725, 0.568, 0.574)
O (0.016, 0.249, 0.488)
O (0.133, 0.466, 0.229)
O (0.135, 0.003, 0.220)
O (0.306, 0.170, 0.943)
O (0.311, 0.689, 0.911)
O (0.418, 0.882, 0.656)
O (0.453, 0.400, 0.630)
O (0.592, 0.104, 0.340)
O (0.602, 0.570, 0.364)
O (0.702, 0.819, 0.058)
O (0.713, 0.312, 0.088)
O (0.829, 0.020, 0.793)
O (0.875, 0.543, 0.774)
O (0.997, 0.740, 0.517)

Top 12 peaks for 10° ≤ 2θ ≤ 90°, low angle first:
| 2theta | I_rel |
| --- | --- |
| 18.37 | 100 |
| 34.16 | 20 |
| 36.72 | 11 |
| 36.88 | 11 |
| 40.97 | 35 |
| 44.68 | 26 |
| 44.91 | 25 |
| 62.06 | 8 |
| 62.34 | 16 |
| 62.48 | 8 |
| 64.32 | 9 |
| 66.11 | 7 |

=====

Record 5
# Li7Mn4CoO12
Computed XRD peak list, a wavelength of 1.5418 Å. Input: a crystal structure in the Materials Project, relaxed with PBE+U.
Intensities are scaled so that the largest is 100.

Structure:
Lattice parameters (Å, degrees): 2.958 8.170 9.868 65.73 86.27 89.00
Positions (direct):
Li (0.000, 0.000, 0.000)
Li (0.003, 0.500, 0.999)
Li (0.009, 0.162, 0.677)
Li (0.494, 0.315, 0.833)
Li (0.498, 0.004, 0.497)
Li (0.506, 0.680, 0.166)
Li (0.989, 0.837, 0.321)
Mn (0.009, 0.662, 0.670)
Mn (0.493, 0.161, 0.162)
Mn (0.500, 0.498, 0.496)
Mn (0.508, 0.841, 0.837)
Co (0.985, 0.336, 0.326)
O (0.018, 0.240, 0.022)
O (0.029, 0.900, 0.684)
O (0.039, 0.423, 0.662)
O (0.460, 0.401, 0.175)
O (0.469, 0.737, 0.506)
O (0.493, 0.068, 0.828)
O (0.506, 0.933, 0.170)
O (0.529, 0.261, 0.485)
O (0.541, 0.597, 0.828)
O (0.966, 0.571, 0.333)
O (0.973, 0.103, 0.314)
O (0.982, 0.762, 0.977)

Top 12 peaks for 10° ≤ 2θ ≤ 90°, low angle first:
| 2theta | I_rel |
| --- | --- |
| 11.90 | 16 |
| 18.34 | 100 |
| 34.65 | 16 |
| 36.31 | 12 |
| 36.68 | 12 |
| 41.59 | 33 |
| 44.41 | 53 |
| 62.06 | 15 |
| 62.77 | 8 |
| 62.98 | 8 |
| 64.07 | 7 |
| 65.16 | 7 |

=====

Record 6
# Li2Mn3CoO8
Computed XRD peak list, a wavelength of 1.5418 Å. Input: a crystal structure in the Materials Project, relaxed with PBE+U.
Intensities are scaled so that the largest is 100.

Structure:
Lattice parameters (Å, degrees): 5.878 5.878 5.878 59.81 59.81 59.81
Positions (direct):
Li (0.000, 0.000, 0.000)
Li (0.382, 0.382, 0.382)
Mn (0.382, 0.382, 0.889)
Mn (0.382, 0.889, 0.382)
Mn (0.889, 0.382, 0.382)
Co (0.766, 0.766, 0.766)
O (0.135, 0.135, 0.593)
O (0.135, 0.593, 0.135)
O (0.145, 0.145, 0.145)
O (0.172, 0.629, 0.629)
O (0.593, 0.135, 0.135)
O (0.624, 0.624, 0.624)
O (0.629, 0.172, 0.629)
O (0.629, 0.629, 0.172)

Top 12 peaks for 10° ≤ 2θ ≤ 90°, low angle first:
| 2theta | I_rel |
| --- | --- |
| 18.47 | 100 |
| 21.41 | 39 |
| 30.42 | 41 |
| 35.86 | 63 |
| 35.93 | 74 |
| 43.61 | 49 |
| 54.15 | 12 |
| 57.66 | 40 |
| 63.28 | 31 |
| 63.48 | 33 |
| 66.74 | 11 |
| 75.13 | 12 |

=====

Record 7
# Li7Mn2Co3O12
Computed XRD peak list, a wavelength of 1.5418 Å. Input: a crystal structure in the Materials Project, relaxed with PBE+U.
Intensities are scaled so that the largest is 100.

Structure:
Lattice parameters (Å, degrees): 5.115 2.907 14.477 90.00 90.52 90.00
Positions (direct):
Li (0.000, 0.000, 0.000)
Li (0.012, 0.000, 0.500)
Li (0.172, 0.500, 0.824)
Li (0.330, 0.000, 0.657)
Li (0.482, 0.500, 0.500)
Li (0.667, 0.000, 0.336)
Li (0.837, 0.500, 0.176)
Mn (0.500, 0.500, 0.999)
Mn (0.849, 0.500, 0.659)
Co (0.151, 0.500, 0.339)
Co (0.326, 0.000, 0.170)
Co (0.669, 0.000, 0.830)
O (0.001, 0.000, 0.253)
O (0.143, 0.500, 0.588)
O (0.201, 0.500, 0.082)
O (0.328, 0.000, 0.409)
O (0.343, 0.000, 0.926)
O (0.453, 0.500, 0.252)
O (0.536, 0.500, 0.749)
O (0.654, 0.000, 0.072)
O (0.687, 0.000, 0.591)
O (0.801, 0.500, 0.917)
O (0.871, 0.500, 0.406)
O (0.992, 0.000, 0.740)

Top 12 peaks for 10° ≤ 2θ ≤ 90°, low angle first:
| 2theta | I_rel |
| --- | --- |
| 12.23 | 9 |
| 18.37 | 8 |
| 18.45 | 100 |
| 35.49 | 15 |
| 36.07 | 29 |
| 43.13 | 28 |
| 43.78 | 57 |
| 47.74 | 9 |
| 57.79 | 10 |
| 63.05 | 15 |
| 63.23 | 22 |
| 64.05 | 8 |

=====

Record 8
# Li2MnCoO4
Computed XRD peak list, a wavelength of 1.5418 Å. Input: a crystal structure in the Materials Project, relaxed with PBE+U.
Intensities are scaled so that the largest is 100.

Structure:
Lattice parameters (Å, degrees): 5.082 5.833 6.043 61.24 85.83 72.20
Positions (direct):
Li (0.000, 0.000, 0.000)
Li (0.005, 0.994, 0.505)
Li (0.494, 0.000, 0.252)
Li (0.511, 0.994, 0.752)
Mn (0.005, 0.498, 0.505)
Mn (0.504, 0.497, 0.251)
Co (0.000, 0.497, 0.998)
Co (0.502, 0.496, 0.756)
O (0.244, 0.259, 0.891)
O (0.250, 0.720, 0.880)
O (0.255, 0.267, 0.379)
O (0.259, 0.722, 0.385)
O (0.750, 0.271, 0.628)
O (0.750, 0.277, 0.115)
O (0.752, 0.726, 0.118)
O (0.759, 0.735, 0.623)

Top 12 peaks for 10° ≤ 2θ ≤ 90°, low angle first:
| 2theta | I_rel |
| --- | --- |
| 18.24 | 100 |
| 33.69 | 21 |
| 36.11 | 13 |
| 36.63 | 16 |
| 37.34 | 9 |
| 40.41 | 33 |
| 43.96 | 25 |
| 44.77 | 23 |
| 60.98 | 8 |
| 61.49 | 8 |
| 61.70 | 8 |
| 62.06 | 7 |

=====

Record 9
# Li7Mn4CoO12
Computed XRD peak list, a wavelength of 1.5418 Å. Input: a crystal structure in the Materials Project, relaxed with PBE+U.
Intensities are scaled so that the largest is 100.

Structure:
Lattice parameters (Å, degrees): 2.880 6.736 23.057 93.00 93.20 102.34
Positions (direct):
Li (0.047, 0.386, 0.209)
Li (0.133, 0.134, 0.627)
Li (0.203, 0.867, 0.041)
Li (0.251, 0.251, 0.750)
Li (0.294, 0.633, 0.458)
Li (0.367, 0.367, 0.871)
Li (0.451, 0.112, 0.291)
Li (0.549, 0.888, 0.709)
Li (0.633, 0.633, 0.129)
Li (0.706, 0.367, 0.542)
Li (0.749, 0.749, 0.250)
Li (0.797, 0.133, 0.959)
Li (0.867, 0.866, 0.373)
Li (0.953, 0.614, 0.791)
Mn (0.085, 0.754, 0.916)
Mn (0.172, 0.519, 0.331)
Mn (0.324, 0.979, 0.169)
Mn (0.419, 0.750, 0.584)
Mn (0.581, 0.250, 0.416)
Mn (0.676, 0.021, 0.831)
Mn (0.828, 0.481, 0.669)
Mn (0.915, 0.246, 0.084)
Co (0.000, 0.000, 0.500)
Co (0.500, 0.500, 0.000)
O (0.027, 0.210, 0.357)
O (0.054, 0.561, 0.055)
O (0.113, 0.943, 0.777)
O (0.142, 0.313, 0.472)
O (0.198, 0.711, 0.185)
O (0.225, 0.066, 0.888)
O (0.281, 0.439, 0.612)
O (0.300, 0.786, 0.314)
O (0.358, 0.187, 0.028)
O (0.390, 0.559, 0.722)
O (0.413, 0.948, 0.441)
O (0.466, 0.291, 0.143)
O (0.534, 0.709, 0.857)
O (0.587, 0.052, 0.559)
O (0.610, 0.441, 0.278)
O (0.642, 0.813, 0.972)
O (0.700, 0.214, 0.686)
O (0.719, 0.561, 0.388)
O (0.775, 0.934, 0.112)
O (0.802, 0.289, 0.815)
O (0.858, 0.687, 0.528)
O (0.887, 0.057, 0.223)
O (0.946, 0.439, 0.945)
O (0.973, 0.790, 0.643)

Top 12 peaks for 10° ≤ 2θ ≤ 90°, low angle first:
| 2theta | I_rel |
| --- | --- |
| 18.37 | 100 |
| 34.80 | 16 |
| 36.14 | 12 |
| 36.35 | 11 |
| 42.19 | 32 |
| 43.86 | 29 |
| 44.16 | 28 |
| 47.51 | 12 |
| 62.25 | 8 |
| 62.72 | 8 |
| 62.89 | 8 |
| 64.75 | 8 |

=====

Record 10
# Li7Mn4CoO12
Computed XRD peak list, a wavelength of 1.5418 Å. Input: a crystal structure in the Materials Project, relaxed with PBE+U.
Intensities are scaled so that the largest is 100.

Structure:
Lattice parameters (Å, degrees): 5.012 5.019 9.847 79.43 86.30 61.57
Positions (direct):
Li (0.000, 0.000, 0.000)
Li (0.001, 0.487, 0.496)
Li (0.007, 0.238, 0.248)
Li (0.341, 0.317, 0.999)
Li (0.344, 0.819, 0.494)
Li (0.676, 0.161, 0.496)
Li (0.680, 0.646, 0.002)
Mn (0.005, 0.734, 0.748)
Mn (0.340, 0.570, 0.248)
Mn (0.343, 0.075, 0.748)
Mn (0.675, 0.906, 0.248)
Co (0.674, 0.405, 0.748)
O (0.016, 0.837, 0.359)
O (0.349, 0.694, 0.854)
O (0.362, 0.919, 0.134)
O (0.366, 0.422, 0.630)
O (0.371, 0.192, 0.359)
O (0.643, 0.283, 0.138)
O (0.653, 0.059, 0.866)
O (0.653, 0.556, 0.360)
O (0.697, 0.751, 0.631)
O (0.982, 0.385, 0.868)
O (0.998, 0.118, 0.639)
O (0.999, 0.640, 0.136)

Top 12 peaks for 10° ≤ 2θ ≤ 90°, low angle first:
| 2theta | I_rel |
| --- | --- |
| 18.34 | 100 |
| 35.34 | 15 |
| 36.46 | 24 |
| 42.54 | 31 |
| 44.16 | 28 |
| 44.27 | 28 |
| 47.58 | 9 |
| 62.79 | 16 |
| 63.22 | 8 |
| 63.32 | 8 |
| 63.69 | 7 |
| 64.92 | 8 |